No. 1
V2Se2O11: simulated X-ray powder pattern (Cu Kα, 1.54184 Å), based on a DFT-relaxed cell (GGA+U, Alexandria).
No peak broadening, texture or thermal motion is included.

Cell and atoms:
a b c (Å): 8.329 8.329 10.191
angles (deg): 109.16 109.16 39.91
Fractional positions:
V 0.029 0.214 0.297
V 0.214 0.029 0.797
V 0.786 0.971 0.203
V 0.971 0.786 0.703
Se 0.203 0.502 0.397
Se 0.498 0.797 0.103
Se 0.502 0.203 0.897
Se 0.797 0.498 0.603
O 0.007 0.191 0.623
O 0.028 0.267 0.907
O 0.079 0.407 0.285
O 0.122 0.878 0.750
O 0.191 0.007 0.123
O 0.212 0.498 0.564
O 0.267 0.028 0.407
O 0.332 0.483 0.865
O 0.407 0.079 0.785
O 0.483 0.332 0.365
O 0.498 0.212 0.064
O 0.502 0.788 0.936
O 0.517 0.668 0.635
O 0.593 0.921 0.215
O 0.668 0.517 0.135
O 0.733 0.972 0.593
O 0.788 0.502 0.436
O 0.809 0.993 0.877
O 0.878 0.122 0.250
O 0.921 0.593 0.715
O 0.972 0.733 0.093
O 0.993 0.809 0.377

Most intense lines, 10° ≤ 2θ ≤ 80°, sorted by position:
2θ = 18.1°, I 57
2θ = 20.2°, I 37
2θ = 23.3°, I 24
2θ = 23.4°, I 98
2θ = 24.3°, I 100
2θ = 30.9°, I 43
2θ = 32.9°, I 24
2θ = 33.7°, I 22
2θ = 55.7°, I 21
2θ = 64.0°, I 21

No. 2
V2Se2O9: simulated X-ray powder pattern (Cu Kα, 1.54184 Å), based on a DFT-relaxed cell (GGA+U, Alexandria).
No peak broadening, texture or thermal motion is included.

Cell and atoms:
a b c (Å): 8.194 10.527 10.678
angles (deg): 90.00 126.38 90.00
Fractional positions:
V 0.018 0.102 0.293
V 0.018 0.398 0.793
V 0.376 0.033 0.718
V 0.376 0.467 0.218
V 0.624 0.533 0.782
V 0.624 0.967 0.282
V 0.982 0.602 0.207
V 0.982 0.898 0.707
Se 0.245 0.163 0.137
Se 0.245 0.337 0.637
Se 0.314 0.656 0.875
Se 0.314 0.844 0.375
Se 0.686 0.156 0.625
Se 0.686 0.344 0.125
Se 0.755 0.663 0.363
Se 0.755 0.837 0.863
O 0.087 0.727 0.727
O 0.087 0.773 0.227
O 0.102 0.548 0.382
O 0.102 0.952 0.882
O 0.142 0.543 0.153
O 0.142 0.957 0.653
O 0.219 0.530 0.924
O 0.219 0.970 0.424
O 0.237 0.186 0.293
O 0.237 0.314 0.793
O 0.245 0.178 0.581
O 0.245 0.322 0.081
O 0.368 0.575 0.765
O 0.368 0.925 0.265
O 0.453 0.090 0.884
O 0.453 0.410 0.384
O 0.496 0.638 0.266
O 0.496 0.862 0.766
O 0.504 0.138 0.234
O 0.504 0.362 0.734
O 0.547 0.590 0.616
O 0.547 0.910 0.116
O 0.632 0.075 0.735
O 0.632 0.425 0.235
O 0.755 0.678 0.919
O 0.755 0.822 0.419
O 0.763 0.686 0.207
O 0.763 0.814 0.707
O 0.781 0.030 0.576
O 0.781 0.470 0.076
O 0.858 0.043 0.347
O 0.858 0.457 0.847
O 0.898 0.048 0.118
O 0.898 0.452 0.618
O 0.913 0.227 0.773
O 0.913 0.273 0.273

Most intense lines, 10° ≤ 2θ ≤ 80°, sorted by position:
2θ = 20.7°, I 74
2θ = 22.3°, I 74
2θ = 23.8°, I 100
2θ = 27.3°, I 95
2θ = 27.8°, I 86
2θ = 33.4°, I 38
2θ = 33.7°, I 29
2θ = 35.9°, I 26
2θ = 36.7°, I 23
2θ = 44.3°, I 22